Record 1
This entry pairs a crystal structure of GdAl20Cr2 with its simulated powder X-ray diffraction pattern. Radiation: Cu Kα X-rays. Structure: DFT lattice parameters and positions (GGA-PBE).
No peak broadening, texture or thermal motion is included.

Main lines, by intensity (10 to 80 degrees two-theta):
- 2θ 36.81, I = 100, hkl 5 3 1
- 2θ 20.39, I = 98, hkl 3 1 1
- 2θ 40.97, I = 95, hkl 5 3 3
- 2θ 39.45, I = 70, hkl 6 2 0
- 2θ 41.46, I = 68, hkl 6 2 2
- 2θ 17.36, I = 61, hkl 2 2 0
- 2θ 35.14, I = 50, hkl 4 4 0
- 2θ 53.85, I = 46, hkl 6 6 0
- 2θ 74.28, I = 42, hkl 8 8 0
- 2θ 30.31, I = 29, hkl 4 2 2

Structure:
Cell lengths 14.4468, 14.4468, 14.4468 Å; angles 90.00, 90.00, 90.00 degrees
Space group Fd-3m (No. 227, origin choice 2)
One atom of each set of equivalent atoms:
Gd 0.1250 0.1250 0.1250
Al 0.0000 0.0000 0.0000
Al 0.0117 0.3750 0.8750
Al 0.0585 0.0585 0.3262
Cr 0.0000 0.0000 0.5000



Record 2
This entry pairs a crystal structure of HoAl8Cr4 with its simulated powder X-ray diffraction pattern. Radiation: Cu Kα X-rays. Structure: DFT lattice parameters and positions (GGA-PBE).
No peak broadening, texture or thermal motion is included.

Main lines, by intensity (10 to 80 degrees two-theta):
- 2θ 41.01, I = 100, hkl 2 0 2
- 2θ 40.64, I = 89, hkl 3 2 1
- 2θ 40.51, I = 77, hkl 4 0 0
- 2θ 28.51, I = 73, hkl 2 1 1
- 2θ 14.06, I = 63, hkl 1 1 0
- 2θ 20.17, I = 57, hkl 1 0 1
- 2θ 35.04, I = 56, hkl 3 0 1
- 2θ 28.34, I = 42, hkl 2 2 0
- 2θ 59.01, I = 37, hkl 4 2 2
- 2θ 31.77, I = 36, hkl 3 1 0

Structure:
```
data_HoAl8Cr4
_symmetry_space_group_name_H-M 'I 4/m m m'
_symmetry_Int_Tables_number 139
_symmetry_space_group_name_Hall '-I 4 2'
_cell_length_a 8.9072
_cell_length_b 8.9072
_cell_length_c 5.0628
_cell_angle_alpha 90.00
_cell_angle_beta 90.00
_cell_angle_gamma 90.00
loop_
_atom_site_label
_atom_site_fract_x
_atom_site_fract_y
_atom_site_fract_z
_atom_site_occupancy
Ho1 0.0000 0.0000 0.0000 1
Al1 0.0000 0.2223 0.5000 1
Al2 0.0000 0.3354 0.0000 1
Cr1 0.2500 0.2500 0.2500 1
```



Record 3
This entry pairs a crystal structure of LaAl8Cr4 with its simulated powder X-ray diffraction pattern. Radiation: Cu Kα X-rays. Structure: DFT lattice parameters and positions (GGA-PBE).
No peak broadening, texture or thermal motion is included.

Main lines, by intensity (10 to 80 degrees two-theta):
- 2θ 40.84, I = 100, hkl 2 0 2
- 2θ 40.02, I = 84, hkl 3 2 1
- 2θ 39.74, I = 79, hkl 4 0 0
- 2θ 28.19, I = 62, hkl 2 1 1
- 2θ 34.55, I = 48, hkl 3 0 1
- 2θ 27.81, I = 41, hkl 2 2 0
- 2θ 20.09, I = 40, hkl 1 0 1
- 2θ 13.80, I = 38, hkl 1 1 0
- 2θ 58.30, I = 35, hkl 4 2 2
- 2θ 31.17, I = 30, hkl 3 1 0

Structure:
```
data_LaAl8Cr4
_symmetry_space_group_name_H-M 'I 4/m m m'
_symmetry_Int_Tables_number 139
_symmetry_space_group_name_Hall '-I 4 2'
_cell_length_a 9.0733
_cell_length_b 9.0733
_cell_length_c 5.0600
_cell_angle_alpha 90.00
_cell_angle_beta 90.00
_cell_angle_gamma 90.00
loop_
_atom_site_label
_atom_site_fract_x
_atom_site_fract_y
_atom_site_fract_z
_atom_site_occupancy
La1 0.0000 0.0000 0.0000 1
Al1 0.0000 0.2277 0.5000 1
Al2 0.0000 0.3435 0.0000 1
Cr1 0.2500 0.2500 0.2500 1
```